No. 1
# MgSn3
Computed powder diffractogram, Cu Ka. Input: a crystal structure in the Materials Project, relaxed with PBE.

Cell and atoms:
a = 4.607 Å, b = 4.607 Å, c = 9.903 Å
α = 90.00°, β = 90.00°, γ = 90.00°
Positions (direct):
Mg (0.000, 0.000, 0.000)
Mg (0.500, 0.500, 0.500)
Sn (0.000, 0.000, 0.500)
Sn (0.000, 0.500, 0.250)
Sn (0.000, 0.500, 0.750)
Sn (0.500, 0.000, 0.250)
Sn (0.500, 0.000, 0.750)
Sn (0.500, 0.500, 0.000)

Main lines, sorted by position (10 to 80 degrees two-theta):
| (hkl) | two_theta | I_rel |
| --- | --- | --- |
| 0 0 2 | 17.91 | 6 |
| 1 0 1 | 21.27 | 17 |
| 1 1 2 | 32.91 | 100 |
| 1 0 3 | 33.39 | 6 |
| 0 0 4 | 36.29 | 19 |
| 2 0 0 | 39.11 | 32 |
| 2 1 1 | 44.94 | 5 |
| 2 0 4 | 54.41 | 25 |
| 2 2 0 | 56.50 | 11 |
| 1 1 6 | 63.15 | 16 |
| 3 1 2 | 66.96 | 27 |
| 2 2 4 | 69.02 | 12 |

=====

No. 2
# SmSn3Ru
Computed powder diffractogram, Cu Ka. Input: a crystal structure in the Materials Project, relaxed with PBE.

Cell and atoms:
a = 9.792 Å, b = 9.792 Å, c = 9.792 Å
α = 90.00°, β = 90.00°, γ = 90.00°
Positions (direct):
Sm (0.000, 0.000, 0.000)
Sm (0.000, 0.250, 0.500)
Sm (0.000, 0.750, 0.500)
Sm (0.250, 0.500, 0.000)
Sm (0.500, 0.000, 0.250)
Sm (0.500, 0.000, 0.750)
Sm (0.500, 0.500, 0.500)
Sm (0.750, 0.500, 0.000)
Sn (0.000, 0.313, 0.156)
Sn (0.000, 0.313, 0.844)
Sn (0.000, 0.687, 0.156)
Sn (0.000, 0.687, 0.844)
Sn (0.156, 0.000, 0.313)
Sn (0.156, 0.000, 0.687)
Sn (0.187, 0.500, 0.344)
Sn (0.187, 0.500, 0.656)
Sn (0.313, 0.156, 0.000)
Sn (0.313, 0.844, 0.000)
Sn (0.344, 0.187, 0.500)
Sn (0.344, 0.813, 0.500)
Sn (0.500, 0.344, 0.187)
Sn (0.500, 0.344, 0.813)
Sn (0.500, 0.656, 0.187)
Sn (0.500, 0.656, 0.813)
Sn (0.656, 0.187, 0.500)
Sn (0.656, 0.813, 0.500)
Sn (0.687, 0.156, 0.000)
Sn (0.687, 0.844, 0.000)
Sn (0.813, 0.500, 0.344)
Sn (0.813, 0.500, 0.656)
Sn (0.844, 0.000, 0.313)
Sn (0.844, 0.000, 0.687)
Ru (0.250, 0.250, 0.250)
Ru (0.250, 0.250, 0.750)
Ru (0.250, 0.750, 0.250)
Ru (0.250, 0.750, 0.750)
Ru (0.750, 0.250, 0.250)
Ru (0.750, 0.250, 0.750)
Ru (0.750, 0.750, 0.250)
Ru (0.750, 0.750, 0.750)

Main lines, sorted by position (10 to 80 degrees two-theta):
| (hkl) | two_theta | I_rel |
| --- | --- | --- |
| 3 2 0 | 32.98 | 100 |
| 3 2 1 | 34.26 | 44 |
| 4 0 0 | 36.71 | 21 |
| 4 1 0 | 37.88 | 13 |
| 4 2 0 | 41.23 | 8 |
| 4 2 2 | 45.37 | 21 |
| 4 3 3 | 54.65 | 12 |
| 5 3 2 | 58.07 | 17 |
| 6 2 2 | 62.96 | 14 |
| 6 3 1 | 64.55 | 8 |
| 6 3 2 | 66.88 | 12 |
| 6 4 1 | 69.94 | 9 |

=====

Q: What is the formula in the first record?
A: MgSn3